[1]
AsSClOF8: calculated powder diffraction line list (CuKα), based on a structure optimized by DFT (PBE).
No peak broadening, texture or thermal motion is included.

Principal peaks in the range 2θ from 10° to 90°, sorted by position:
- 16.26 deg, intensity 24, (1 1 -1)
- 17.80 deg, intensity 29, (0 0 2)
- 19.21 deg, intensity 56, (0 2 0)
- 20.25 deg, intensity 72, (0 1 2)
- 21.12 deg, intensity 98, (2 0 0)
- 21.95 deg, intensity 100, (1 2 0)
- 22.07 deg, intensity 20, (1 1 -2)
- 26.35 deg, intensity 20, (2 0 -2)
- 28.70 deg, intensity 28, (2 2 0)
- 40.07 deg, intensity 18, (3 0 -3)

Structural model:
```
data_AsSClOF8
_space_group_name_H-M_alt 'P 1 21 1'
_space_group_IT_number 4
_cell_length_a 8.451
_cell_length_b 9.239
_cell_length_c 10.008
_cell_angle_alpha 90.00
_cell_angle_beta 95.42
_cell_angle_gamma 90.00
loop_
_space_group_symop_operation_xyz
'x,y,z'
'-x,y+1/2,-z'
loop_
_atom_site_label
_atom_site_type_symbol
_atom_site_fract_x
_atom_site_fract_y
_atom_site_fract_z
_atom_site_occupancy
As1 As 0.005 0.000 0.316 1
As2 As 0.494 0.633 0.182 1
S1 S 0.015 0.457 0.137 1
S2 S 0.498 0.633 0.623 1
Cl1 Cl 0.033 0.016 0.689 1
Cl2 Cl 0.462 0.609 0.807 1
O1 O 0.138 0.358 0.124 1
O2 O 0.469 0.010 0.452 1
F1 F 0.034 0.599 0.060 1
F2 F 0.074 0.408 0.829 1
F3 F 0.084 0.665 0.746 1
F4 F 0.088 0.097 0.463 1
F5 F 0.095 0.840 0.383 1
F6 F 0.144 0.908 0.937 1
F7 F 0.167 0.464 0.602 1
F8 F 0.179 0.044 0.237 1
F9 F 0.322 0.592 0.266 1
F10 F 0.337 0.167 0.905 1
F11 F 0.355 0.720 0.560 1
F12 F 0.377 0.253 0.380 1
F13 F 0.400 0.546 0.035 1
F14 F 0.407 0.798 0.124 1
F15 F 0.417 0.218 0.672 1
F16 F 0.423 0.963 0.764 1
```


[2]
Pm5DyHo2: calculated powder diffraction line list (CuKα), based on a structure optimized by DFT (PBE).
No peak broadening, texture or thermal motion is included.

Principal peaks in the range 2θ from 10° to 90°, sorted by position:
- 30.37 deg, intensity 100, (2 0 1)
- 35.22 deg, intensity 51, (2 4 0)
- 50.66 deg, intensity 36, (4 0 0)
- 60.22 deg, intensity 43, (4 4 1)
- 63.20 deg, intensity 12, (4 0 2)
- 74.46 deg, intensity 6, (4 8 0)
- 82.49 deg, intensity 18, (6 0 1)
- 85.13 deg, intensity 17, (6 4 0)

Structural model:
```
data_Pm5DyHo2
_space_group_name_H-M_alt 'P b a m'
_space_group_IT_number 55
_cell_length_a 7.209
_cell_length_b 14.419
_cell_length_c 5.095
_cell_angle_alpha 90.00
_cell_angle_beta 90.00
_cell_angle_gamma 90.00
loop_
_space_group_symop_operation_xyz
'x,y,z'
'-x,-y,-z'
'-x,-y,z'
'x,y,-z'
'x+1/2,-y+1/2,-z'
'-x+1/2,y+1/2,z'
'-x+1/2,y+1/2,-z'
'x+1/2,-y+1/2,z'
loop_
_atom_site_label
_atom_site_type_symbol
_atom_site_fract_x
_atom_site_fract_y
_atom_site_fract_z
_atom_site_occupancy
Pm1 Pm 0.000 0.000 0.000 1
Pm2 Pm 0.001 0.251 0.000 1
Pm3 Pm 0.249 0.624 0.500 1
Dy1 Dy 0.000 0.500 0.000 1
Ho1 Ho 0.250 0.376 0.500 1
```


[3]
AcSm3Dy2: calculated powder diffraction line list (CuKα), based on a structure optimized by DFT (PBE).
No peak broadening, texture or thermal motion is included.

Principal peaks in the range 2θ from 10° to 90°, sorted by position:
- 22.47 deg, intensity 36, (2 2 0)
- 24.87 deg, intensity 71, (3 1 0)
- 27.44 deg, intensity 79, (1 3 -1)
- 29.85 deg, intensity 35, (2 2 1)
- 30.43 deg, intensity 47, (2 2 -2)
- 32.26 deg, intensity 87, (4 0 -2)
- 32.43 deg, intensity 100, (0 4 0)
- 32.72 deg, intensity 43, (3 3 -1)
- 33.22 deg, intensity 45, (1 1 2)
- 35.57 deg, intensity 56, (4 2 0)

Structural model:
```
data_AcSm3Dy2
_space_group_name_H-M_alt 'C 1 2/c 1'
_space_group_IT_number 15
_cell_length_a 12.505
_cell_length_b 11.040
_cell_length_c 7.023
_cell_angle_alpha 90.00
_cell_angle_beta 114.78
_cell_angle_gamma 90.00
loop_
_space_group_symop_operation_xyz
'x,y,z'
'-x,-y,-z'
'-x,y,-z+1/2'
'x,-y,z+1/2'
'x+1/2,y+1/2,z'
'-x+1/2,-y+1/2,-z'
'-x+1/2,y+1/2,-z+1/2'
'x+1/2,-y+1/2,z+1/2'
loop_
_atom_site_label
_atom_site_type_symbol
_atom_site_fract_x
_atom_site_fract_y
_atom_site_fract_z
_atom_site_occupancy
Ac1 Ac 0.000 0.073 0.250 1
Sm1 Sm 0.000 0.271 0.750 1
Sm2 Sm 0.134 0.469 0.467 1
Dy1 Dy 0.235 0.263 0.230 1
```


[4]
Zn3AgAu2: calculated powder diffraction line list (CuKα), based on a structure optimized by DFT (PBE).
No peak broadening, texture or thermal motion is included.

Principal peaks in the range 2θ from 10° to 90°, sorted by position:
- 27.75 deg, intensity 9, (0 0 1)
- 28.11 deg, intensity 17, (1 3 0)
- 39.91 deg, intensity 100, (1 3 1)
- 40.45 deg, intensity 20, (2 0 0)
- 57.32 deg, intensity 7, (0 0 2)
- 58.12 deg, intensity 13, (2 6 0)
- 72.12 deg, intensity 7, (0 6 2)
- 72.47 deg, intensity 19, (2 0 2)
- 73.20 deg, intensity 13, (3 3 1)
- 86.09 deg, intensity 10, (2 6 2)

Structural model:
```
data_Zn3AgAu2
_space_group_name_H-M_alt 'C m m m'
_space_group_IT_number 65
_space_group_name_Hall '-C 2 2'
_cell_length_a 4.460
_cell_length_b 13.555
_cell_length_c 3.215
_cell_angle_alpha 90.00
_cell_angle_beta 90.00
_cell_angle_gamma 90.00
loop_
_atom_site_label
_atom_site_type_symbol
_atom_site_fract_x
_atom_site_fract_y
_atom_site_fract_z
_atom_site_occupancy
Zn1 Zn 0.000 0.000 0.000 1
Zn2 Zn 0.000 0.328 0.000 1
Ag1 Ag 0.000 0.500 0.500 1
Au1 Au 0.000 0.161 0.500 1
```


[5]
PaMn2GeC: calculated powder diffraction line list (CuKα), based on a structure optimized by DFT (PBE).
No peak broadening, texture or thermal motion is included.

Principal peaks in the range 2θ from 10° to 90°, sorted by position:
- 24.91 deg, intensity 33, (0 0 2)
- 25.59 deg, intensity 36, (1 1 0)
- 29.86 deg, intensity 23, (0 2 2)
- 34.66 deg, intensity 38, (1 3 0)
- 35.11 deg, intensity 48, (0 4 1)
- 36.02 deg, intensity 100, (1 1 2)
- 36.94 deg, intensity 70, (1 3 1)
- 49.66 deg, intensity 23, (2 0 0)
- 52.18 deg, intensity 25, (1 3 3)
- 66.27 deg, intensity 20, (1 7 1)

Structural model:
```
data_PaMn2GeC
_space_group_name_H-M_alt 'C m c m'
_space_group_IT_number 63
_space_group_name_Hall '-C 2c 2'
_cell_length_a 3.672
_cell_length_b 10.946
_cell_length_c 7.148
_cell_angle_alpha 90.00
_cell_angle_beta 90.00
_cell_angle_gamma 90.00
loop_
_atom_site_label
_atom_site_type_symbol
_atom_site_fract_x
_atom_site_fract_y
_atom_site_fract_z
_atom_site_occupancy
Pa1 Pa 0.000 0.045 0.250 1
Mn1 Mn 0.000 0.335 0.056 1
Ge1 Ge 0.000 0.234 0.750 1
C1 C 0.000 0.500 0.000 1
```


[6]
Ti6Pd2O: calculated powder diffraction line list (CuKα), based on a structure optimized by DFT (PBE).
No peak broadening, texture or thermal motion is included.

Principal peaks in the range 2θ from 10° to 90°, sorted by position:
- 33.61 deg, intensity 36, (0 2 1)
- 37.74 deg, intensity 100, (0 2 2)
- 37.85 deg, intensity 89, (2 1 -1)
- 38.75 deg, intensity 60, (2 1 -3)
- 39.09 deg, intensity 100, (0 0 4)
- 40.98 deg, intensity 41, (1 2 1)
- 41.19 deg, intensity 45, (2 1 0)
- 41.82 deg, intensity 35, (1 2 -3)
- 42.86 deg, intensity 39, (2 1 -4)
- 43.88 deg, intensity 37, (0 2 3)

Structural model:
```
data_Ti6Pd2O
_space_group_name_H-M_alt 'P 1 21/c 1'
_space_group_IT_number 14
_cell_length_a 5.409
_cell_length_b 5.571
_cell_length_c 10.456
_cell_angle_alpha 90.00
_cell_angle_beta 118.18
_cell_angle_gamma 90.00
loop_
_space_group_symop_operation_xyz
'x,y,z'
'-x,-y,-z'
'-x,y+1/2,-z+1/2'
'x,-y+1/2,z+1/2'
loop_
_atom_site_label
_atom_site_type_symbol
_atom_site_fract_x
_atom_site_fract_y
_atom_site_fract_z
_atom_site_occupancy
Ti1 Ti 0.130 0.003 0.245 1
Ti2 Ti 0.194 0.679 0.023 1
Ti3 Ti 0.358 0.194 0.026 1
Pd1 Pd 0.354 0.085 0.752 1
O1 O 0.000 0.000 0.000 1
```


[7]
Cd6GaAg3: calculated powder diffraction line list (CuKα), based on a structure optimized by DFT (PBE).
No peak broadening, texture or thermal motion is included.

Principal peaks in the range 2θ from 10° to 90°, sorted by position:
- 27.92 deg, intensity 26, (1 2 -1)
- 29.28 deg, intensity 18, (2 1 -3)
- 34.50 deg, intensity 17, (2 2 -2)
- 35.91 deg, intensity 100, (3 0 -2)
- 36.02 deg, intensity 46, (2 1 -4)
- 36.85 deg, intensity 91, (0 1 3)
- 37.99 deg, intensity 34, (1 1 2)
- 38.23 deg, intensity 22, (3 1 -2)
- 40.26 deg, intensity 42, (0 3 1)
- 40.88 deg, intensity 23, (2 2 0)

Structural model:
```
data_Cd6GaAg3
_space_group_name_H-M_alt 'P 1 21/c 1'
_space_group_IT_number 14
_cell_length_a 7.763
_cell_length_b 7.015
_cell_length_c 10.671
_cell_angle_alpha 90.00
_cell_angle_beta 132.95
_cell_angle_gamma 90.00
loop_
_space_group_symop_operation_xyz
'x,y,z'
'-x,-y,-z'
'-x,y+1/2,-z+1/2'
'x,-y+1/2,z+1/2'
loop_
_atom_site_label
_atom_site_type_symbol
_atom_site_fract_x
_atom_site_fract_y
_atom_site_fract_z
_atom_site_occupancy
Cd1 Cd 0.027 0.130 0.305 1
Cd2 Cd 0.244 0.167 0.676 1
Cd3 Cd 0.407 0.623 0.847 1
Ga1 Ga 0.000 0.000 0.000 1
Ag1 Ag 0.271 0.703 0.039 1
Ag2 Ag 0.500 0.000 0.000 1
```


[8]
Tb12Pr2Er5: calculated powder diffraction line list (CuKα), based on a structure optimized by DFT (PBE).
No peak broadening, texture or thermal motion is included.

Principal peaks in the range 2θ from 10° to 90°, sorted by position:
- 30.56 deg, intensity 74, (2 2 -2)
- 31.08 deg, intensity 52, (4 0 2)
- 31.41 deg, intensity 88, (1 3 1)
- 31.57 deg, intensity 100, (5 1 -1)
- 31.73 deg, intensity 50, (4 2 1)
- 33.31 deg, intensity 71, (1 1 -3)
- 35.48 deg, intensity 47, (3 3 1)
- 36.38 deg, intensity 38, (1 3 -2)
- 55.39 deg, intensity 33, (3 3 4)
- 59.97 deg, intensity 39, (1 5 -3)

Structural model:
```
data_Tb12Pr2Er5
_space_group_name_H-M_alt 'C 1 2/m 1'
_space_group_IT_number 12
_cell_length_a 15.789
_cell_length_b 9.231
_cell_length_c 8.549
_cell_angle_alpha 90.00
_cell_angle_beta 90.88
_cell_angle_gamma 90.00
loop_
_space_group_symop_operation_xyz
'x,y,z'
'-x,-y,-z'
'-x,y,-z'
'x,-y,z'
'x+1/2,y+1/2,z'
'-x+1/2,-y+1/2,-z'
'-x+1/2,y+1/2,-z'
'x+1/2,-y+1/2,z'
loop_
_atom_site_label
_atom_site_type_symbol
_atom_site_fract_x
_atom_site_fract_y
_atom_site_fract_z
_atom_site_occupancy
Tb1 Tb 0.060 0.000 0.330 1
Tb2 Tb 0.094 0.500 0.882 1
Tb3 Tb 0.126 0.192 0.653 1
Tb4 Tb 0.157 0.319 0.243 1
Pr1 Pr 0.000 0.184 0.000 1
Er1 Er 0.000 0.500 0.500 1
Er2 Er 0.197 0.000 0.010 1
Er3 Er 0.231 0.500 0.575 1
```


[9]
Cu4Ag3PbCl12: calculated powder diffraction line list (CuKα), based on a structure optimized by DFT (PBE).
No peak broadening, texture or thermal motion is included.

Principal peaks in the range 2θ from 10° to 90°, sorted by position:
- 21.86 deg, intensity 39, (2 1 1)
- 23.15 deg, intensity 100, (2 0 2)
- 26.31 deg, intensity 19, (2 2 0)
- 28.80 deg, intensity 19, (1 3 1)
- 32.67 deg, intensity 19, (3 1 2)
- 37.82 deg, intensity 24, (2 3 2)
- 38.61 deg, intensity 25, (0 2 4)
- 42.42 deg, intensity 23, (5 0 2)
- 48.44 deg, intensity 38, (5 2 0)
- 57.92 deg, intensity 18, (0 7 2)

Structural model:
```
data_Cu4Ag3PbCl12
_space_group_name_H-M_alt 'R 3 2'
_space_group_IT_number 155
_space_group_name_Hall 'R 3 2"'
_cell_length_a 13.5510
_cell_length_b 13.5510
_cell_length_c 10.1637
_cell_angle_alpha 90.00
_cell_angle_beta 90.00
_cell_angle_gamma 120.00
loop_
_atom_site_label
_atom_site_type_symbol
_atom_site_fract_x
_atom_site_fract_y
_atom_site_fract_z
_atom_site_occupancy
Cu1 Cu 0.0000 0.0000 0.0000 1
Cu2 Cu 0.0000 0.4248 0.0000 1
Ag1 Ag 0.0000 0.5669 0.5000 1
Pb1 Pb 0.0000 0.0000 0.5000 1
Cl1 Cl 0.0000 0.5882 0.0000 1
Cl2 Cl 0.0000 0.8386 0.0000 1
Cl3 Cl 0.0439 0.1990 0.6762 1
```


[10]
Dy12Tl2Hg5: calculated powder diffraction line list (CuKα), based on a structure optimized by DFT (PBE).
No peak broadening, texture or thermal motion is included.

Principal peaks in the range 2θ from 10° to 90°, sorted by position:
- 22.04 deg, intensity 37, (1 1 -2)
- 30.12 deg, intensity 40, (0 2 2)
- 31.35 deg, intensity 100, (2 2 -2)
- 32.99 deg, intensity 33, (2 2 2)
- 33.27 deg, intensity 33, (4 2 -1)
- 34.83 deg, intensity 65, (4 2 1)
- 37.68 deg, intensity 54, (2 0 -4)
- 48.30 deg, intensity 34, (0 4 0)
- 56.08 deg, intensity 33, (2 2 5)
- 65.46 deg, intensity 32, (10 2 1)

Structural model:
```
data_Dy12Tl2Hg5
_space_group_name_H-M_alt 'C 1 2/m 1'
_space_group_IT_number 12
_cell_length_a 16.044
_cell_length_b 7.538
_cell_length_c 9.701
_cell_angle_alpha 90.00
_cell_angle_beta 97.09
_cell_angle_gamma 90.00
loop_
_space_group_symop_operation_xyz
'x,y,z'
'-x,-y,-z'
'-x,y,-z'
'x,-y,z'
'x+1/2,y+1/2,z'
'-x+1/2,-y+1/2,-z'
'-x+1/2,y+1/2,-z'
'x+1/2,-y+1/2,z'
loop_
_atom_site_label
_atom_site_type_symbol
_atom_site_fract_x
_atom_site_fract_y
_atom_site_fract_z
_atom_site_occupancy
Dy1 Dy 0.017 0.000 0.293 1
Dy2 Dy 0.080 0.500 0.817 1
Dy3 Dy 0.141 0.237 0.553 1
Dy4 Dy 0.188 0.255 0.139 1
Tl1 Tl 0.000 0.217 0.000 1
Hg1 Hg 0.000 0.500 0.500 1
Hg2 Hg 0.161 0.000 0.866 1
Hg3 Hg 0.225 0.000 0.365 1
```


[11]
FeSeCl7: calculated powder diffraction line list (CuKα), based on a structure optimized by DFT (PBE).
No peak broadening, texture or thermal motion is included.

Principal peaks in the range 2θ from 10° to 90°, sorted by position:
- 13.15 deg, intensity 40, (0 1 1)
- 16.72 deg, intensity 99, (1 1 1)
- 17.03 deg, intensity 100, (0 0 2)
- 17.97 deg, intensity 38, (1 -1 0)
- 18.20 deg, intensity 75, (1 -1 1)
- 20.56 deg, intensity 39, (0 2 0)
- 26.84 deg, intensity 37, (1 1 3)
- 27.12 deg, intensity 37, (0 2 -2)
- 32.80 deg, intensity 38, (1 0 -3)
- 33.05 deg, intensity 46, (1 3 1)

Structural model:
```
data_FeSeCl7
_space_group_name_H-M_alt 'P 1'
_space_group_IT_number 1
_cell_length_a 6.634
_cell_length_b 8.679
_cell_length_c 10.885
_cell_angle_alpha 87.26
_cell_angle_beta 73.13
_cell_angle_gamma 85.13
loop_
_space_group_symop_operation_xyz
'x,y,z'
loop_
_atom_site_label
_atom_site_type_symbol
_atom_site_fract_x
_atom_site_fract_y
_atom_site_fract_z
_atom_site_occupancy
Fe1 Fe 0.000 0.000 0.000 1
Fe2 Fe 0.229 0.460 0.398 1
Se1 Se 0.482 0.369 0.954 1
Se2 Se 0.665 0.832 0.401 1
Cl1 Cl 0.006 0.657 0.484 1
Cl2 Cl 0.171 0.267 0.536 1
Cl3 Cl 0.181 0.386 0.216 1
Cl4 Cl 0.222 0.472 0.884 1
Cl5 Cl 0.333 0.063 0.957 1
Cl6 Cl 0.427 0.933 0.313 1
Cl7 Cl 0.462 0.814 0.599 1
Cl8 Cl 0.560 0.523 0.359 1
Cl9 Cl 0.607 0.584 0.986 1
Cl10 Cl 0.709 0.318 0.768 1
Cl11 Cl 0.777 0.202 0.077 1
Cl12 Cl 0.806 0.044 0.425 1
Cl13 Cl 0.952 0.911 0.829 1
Cl14 Cl 0.960 0.808 0.148 1
```